(1)
Starting from a structure optimized by DFT (GGA-PBE), the powder X-ray diffraction pattern of SrSmSn was computed for λ = 1.5418 Å (Cu Kα).

Structural model:
```
SrSmSn
1.0
2.7001 1.5589 8.9849
-2.7001 1.5589 8.9849
0.0000 -3.1178 8.9849
Sr Sm Sn
2 2 2
Direct
0.1259 0.1259 0.1259 Sr
0.8741 0.8741 0.8741 Sr
0.3751 0.3751 0.3751 Sm
0.6249 0.6249 0.6249 Sm
0.2566 0.2566 0.2566 Sn
0.7434 0.7434 0.7434 Sn
```

Largest 10 diffraction maxima, most intense first, 10° ≤ 2θ ≤ 90°:
| d/Å | 2θ/deg | I_rel |
| --- | --- | --- |
| 2.700 | 33.18 | 100.0 |
| 2.734 | 32.76 | 99.7 |
| 4.418 | 20.10 | 39.5 |
| 1.565 | 59.01 | 37.3 |
| 1.921 | 47.32 | 35.8 |
| 3.842 | 23.15 | 27.5 |
| 1.559 | 59.28 | 19.1 |
| 1.585 | 58.21 | 17.3 |
| 1.210 | 79.12 | 16.3 |
| 1.220 | 78.42 | 14.8 |

(2)
Starting from a structure optimized by DFT (GGA-PBE), the powder X-ray diffraction pattern of Tb2SmSn3 was computed for λ = 1.5418 Å (Cu Kα).

Structural model:
```
Tb2SmSn3
1.0
4.4612 0.0000 0.0000
0.0000 6.2670 0.0000
0.0000 0.0000 13.2121
Tb Sm Sn
4 2 6
Direct
0.0000 0.0000 0.1652 Tb
0.0000 0.0000 0.8348 Tb
0.5000 0.5000 0.3348 Tb
0.5000 0.5000 0.6652 Tb
0.0000 0.0000 0.5000 Sm
0.5000 0.5000 0.0000 Sm
0.0000 0.5000 0.1696 Sn
0.0000 0.5000 0.5000 Sn
0.0000 0.5000 0.8304 Sn
0.5000 0.0000 0.0000 Sn
0.5000 0.0000 0.3304 Sn
0.5000 0.0000 0.6696 Sn
```

Largest 10 diffraction maxima, most intense first, 10° ≤ 2θ ≤ 90°:
| d/Å | 2θ/deg | I_rel |
| --- | --- | --- |
| 3.134 | 28.48 | 100.0 |
| 2.216 | 40.72 | 51.6 |
| 1.401 | 66.74 | 24.5 |
| 1.817 | 50.20 | 14.2 |
| 1.802 | 50.67 | 13.8 |
| 1.567 | 58.94 | 13.2 |
| 2.231 | 40.44 | 13.2 |
| 2.202 | 40.99 | 12.6 |
| 1.285 | 73.73 | 9.3 |
| 1.274 | 74.47 | 8.9 |

(3)
Starting from a structure optimized by DFT (GGA-PBE), the powder X-ray diffraction pattern of Tb2Sm3Sn2 was computed for λ = 1.5418 Å (Cu Kα).

Structural model:
```
Tb2Sm3Sn2
1.0
16.9613 0.0000 0.0000
0.0000 3.5221 0.0000
-3.5241 0.0000 7.1805
Tb Sm Sn
4 6 4
Direct
0.1104 0.0000 0.4697 Tb
0.3896 0.5000 0.5303 Tb
0.6104 0.5000 0.4697 Tb
0.8896 0.0000 0.5303 Tb
0.0000 0.0000 0.0000 Sm
0.2129 0.0000 0.1579 Sm
0.2871 0.5000 0.8421 Sm
0.5000 0.5000 0.0000 Sm
0.7129 0.5000 0.1579 Sm
0.7871 0.0000 0.8421 Sm
0.0827 0.5000 0.7750 Sn
0.4173 0.0000 0.2250 Sn
0.5827 0.0000 0.7750 Sn
0.9173 0.5000 0.2250 Sn
```

Largest 10 diffraction maxima, most intense first, 10° ≤ 2θ ≤ 90°:
| d/Å | 2θ/deg | I_rel |
| --- | --- | --- |
| 2.613 | 34.32 | 100.0 |
| 2.443 | 36.79 | 79.0 |
| 2.879 | 31.06 | 74.2 |
| 2.983 | 29.95 | 46.5 |
| 2.640 | 33.95 | 33.6 |
| 2.710 | 33.05 | 29.2 |
| 1.629 | 56.48 | 28.2 |
| 3.490 | 25.53 | 25.1 |
| 3.223 | 27.68 | 24.6 |
| 1.761 | 51.92 | 21.9 |

(4)
Starting from a structure optimized by DFT (GGA-PBE), the powder X-ray diffraction pattern of Tb5Sm3Sn was computed for λ = 1.5418 Å (Cu Kα).

Structural model:
```
Tb5Sm3Sn
1.0
5.9378 -4.3341 0.0000
5.9378 4.3341 0.0000
-1.5888 0.0000 12.3709
Tb Sm Sn
10 6 2
Direct
0.0282 0.4123 0.8029 Tb
0.0386 0.0386 0.2561 Tb
0.1759 0.8241 0.0000 Tb
0.2517 0.2517 0.0583 Tb
0.4123 0.0282 0.8029 Tb
0.5877 0.9718 0.1971 Tb
0.7483 0.7483 0.9417 Tb
0.8241 0.1759 0.0000 Tb
0.9614 0.9614 0.7439 Tb
0.9718 0.5877 0.1971 Tb
0.1624 0.1624 0.5400 Sm
0.4665 0.4665 0.7486 Sm
0.5000 0.5000 0.0000 Sm
0.5000 0.5000 0.5000 Sm
0.5335 0.5335 0.2514 Sm
0.8376 0.8376 0.4600 Sm
0.2918 0.2918 0.3316 Sn
0.7082 0.7082 0.6684 Sn
```

Largest 10 diffraction maxima, most intense first, 10° ≤ 2θ ≤ 90°:
| d/Å | 2θ/deg | I_rel |
| --- | --- | --- |
| 2.948 | 30.32 | 100.0 |
| 4.334 | 20.49 | 29.7 |
| 2.769 | 32.33 | 26.7 |
| 2.234 | 40.37 | 25.1 |
| 2.719 | 32.94 | 23.4 |
| 3.093 | 28.87 | 22.0 |
| 2.894 | 30.90 | 16.4 |
| 2.752 | 32.54 | 16.2 |
| 1.637 | 56.18 | 15.4 |
| 2.910 | 30.72 | 15.4 |